For SrSm2Au6, a PBE-relaxed structure gives the simulated powder diffraction line list in this record (Cu Kα X-rays).

Most intense lines, 2θ from 15° to 90°, sorted by position:
(0 0 1), 2θ = 24.55°, I 23
(1 3 1), 2θ = 32.85°, I 100
(3 3 0), 2θ = 37.69°, I 89
(3 3 1), 2θ = 45.50°, I 28
(4 0 1), 2θ = 50.85°, I 30
(3 3 2), 2θ = 64.54°, I 38
(4 6 1), 2θ = 64.99°, I 28
(6 0 2), 2θ = 89.28°, I 17

Atomic structure:
a = 8.275 Å, b = 14.309 Å, c = 3.626 Å
α = 90.00°, β = 90.00°, γ = 90.00°
Space group Cmmm (No. 65)
Asymmetric unit:
Sr1 0.000 0.000 0.000 (multiplicity 2)
Sm1 0.000 0.333 0.000 (multiplicity 4)
Au1 0.165 0.500 0.500 (multiplicity 4)
Au2 0.167 0.168 0.500 (multiplicity 8)